# 1
The following is a calculated powder diffraction line list of Bi8Pd2Se. It was derived from the GGA-PBE geometry in OQMD, using Cu Kα (weighted mean of Kα1 and Kα2).

Peak list (8 most intense, 15 to 90 degrees two-theta, low angle first)
2θ/deg, Rel. int., h k l
26.6, 37, 3 0 1
30.3, 100, 2 1 3
31.1, 89, 3 1 2
35.1, 29, 4 1 0
35.9, 25, 3 1 3
36.2, 39, 3 3 0
37.7, 34, 4 0 2
38.7, 34, 4 1 2

abc: 10.5277 10.5277 11.3602
angles: 90.00 90.00 90.00
Space group P4_2/mnm (No. 136)
One atom of each set of equivalent atoms:
Bi: 0.0000 0.0000 0.2143 (multiplicity 4)
Bi: 0.0523 0.3053 0.3229 (multiplicity 16)
Bi: 0.1067 0.8933 0.5000 (multiplicity 4)
Bi: 0.1568 0.8432 0.0000 (multiplicity 4)
Bi: 0.1598 0.1598 0.0000 (multiplicity 4)
Pd: 0.2038 0.7962 0.2796 (multiplicity 8)
Se: 0.0000 0.5000 0.0000 (multiplicity 4)

=====

# 2
The following is a calculated powder diffraction line list of Sn2Bi2Pd3. It was derived from the GGA-PBE geometry in OQMD, using Cu Kα (weighted mean of Kα1 and Kα2).

Peak list (8 most intense, 15 to 90 degrees two-theta, low angle first)
2θ/deg, Rel. int., h k l
22.7, 14, 0 1 2
26.3, 27, 1 0 4
37.5, 100, 1 1 0
37.6, 97, 0 1 8
54.2, 34, 2 0 8
67.7, 53, 3 0 0
68.0, 16, 1 0 16
80.0, 12, 2 2 0

abc: 4.7989 4.7989 23.3842
angles: 90.00 90.00 120.00
Space group R3m (No. 160, hexagonal axes)
One atom of each set of equivalent atoms:
Sn: 0.0000 0.0000 0.0000 (multiplicity 3)
Sn: 0.0000 0.0000 0.4949 (multiplicity 3)
Bi: 0.0000 0.0000 0.2421 (multiplicity 3)
Bi: 0.0000 0.0000 0.7500 (multiplicity 3)
Pd: 0.0000 0.0000 0.3706 (multiplicity 3)
Pd: 0.0000 0.0000 0.6229 (multiplicity 3)
Pd: 0.0000 0.0000 0.8744 (multiplicity 3)

=====

# 3
The following is a calculated powder diffraction line list of Bi8TePd2. It was derived from the GGA-PBE geometry in OQMD, using Cu Kα (weighted mean of Kα1 and Kα2).

Peak list (8 most intense, 15 to 90 degrees two-theta, low angle first)
2θ/deg, Rel. int., h k l
28.4, 25, 2 2 2
29.7, 16, 3 2 0
30.7, 100, 2 1 3
34.0, 19, 4 1 0
35.1, 18, 3 3 0
37.9, 29, 4 1 2
42.4, 20, 5 0 1
60.1, 20, 5 0 5

abc: 10.8576 10.8576 10.9154
angles: 90.00 90.00 90.00
Space group P4_2/mnm (No. 136)
One atom of each set of equivalent atoms:
Bi: 0.0000 0.0000 0.1597 (multiplicity 4)
Bi: 0.0597 0.2902 0.3046 (multiplicity 16)
Bi: 0.1011 0.8989 0.5000 (multiplicity 4)
Bi: 0.1925 0.1925 0.0000 (multiplicity 4)
Bi: 0.1984 0.8016 0.0000 (multiplicity 4)
Te: 0.0000 0.5000 0.0000 (multiplicity 4)
Pd: 0.1845 0.8155 0.2705 (multiplicity 8)

=====

# 4
The following is a calculated powder diffraction line list of PmBi. It was derived from the GGA-PBE geometry in OQMD, using Cu Kα (weighted mean of Kα1 and Kα2).

Peak list (8 most intense, 15 to 90 degrees two-theta, low angle first)
2θ/deg, Rel. int., h k l
25.4, 99, 1 0 1
33.1, 100, 1 0 2
39.2, 63, 1 1 0
43.2, 25, 1 0 3
47.3, 19, 2 0 1
52.2, 28, 2 0 2
64.7, 30, 1 1 4
67.2, 26, 2 1 2

abc: 4.5980 4.5980 7.3891
angles: 90.00 90.00 120.00
Space group P6_3/mmc (No. 194)
One atom of each set of equivalent atoms:
Pm: 0.0000 0.0000 0.0000 (multiplicity 2)
Bi: 0.3333 0.6667 0.2500 (multiplicity 2)

=====

# 5
The following is a calculated powder diffraction line list of Pm2Pr3Bi3. It was derived from the GGA-PBE geometry in OQMD, using Cu Kα (weighted mean of Kα1 and Kα2).

Peak list (8 most intense, 15 to 90 degrees two-theta, low angle first)
2θ/deg, Rel. int., h k l
27.0, 24, 0 0 2
28.7, 22, 2 1 0
31.8, 100, 2 1 1
32.6, 55, 3 0 0
33.1, 78, 1 1 2
41.9, 23, 3 1 1
50.8, 31, 2 1 3
63.1, 21, 5 0 2

abc: 9.5050 9.5050 6.5972
angles: 90.00 90.00 120.00
Space group P6_3/mcm (No. 193)
One atom of each set of equivalent atoms:
Pm: 0.3333 0.6667 0.0000 (multiplicity 4)
Pr: 0.0000 0.2469 0.2500 (multiplicity 6)
Bi: 0.0000 0.3898 0.7500 (multiplicity 6)

=====

# 6
The following is a calculated powder diffraction line list of Pm4SmBi5. It was derived from the GGA-PBE geometry in OQMD, using Cu Kα (weighted mean of Kα1 and Kα2).

Peak list (8 most intense, 15 to 90 degrees two-theta, low angle first)
2θ/deg, Rel. int., h k l
23.9, 5, 1 0 5
27.7, 100, 1 1 0
39.5, 79, 2 0 0
48.9, 29, 2 0 10
57.1, 14, 2 2 0
64.6, 38, 3 1 0
71.7, 28, 3 1 10
85.1, 9, 4 0 0

abc: 4.5603 4.5603 32.2417
angles: 90.00 90.00 90.00
Space group I4/mmm (No. 139)
One atom of each set of equivalent atoms:
Pm: 0.0000 0.0000 0.0999 (multiplicity 4)
Pm: 0.0000 0.0000 0.3001 (multiplicity 4)
Sm: 0.0000 0.0000 0.5000 (multiplicity 2)
Bi: 0.0000 0.0000 0.0000 (multiplicity 2)
Bi: 0.0000 0.0000 0.2000 (multiplicity 4)
Bi: 0.0000 0.0000 0.4003 (multiplicity 4)

=====

# 7
The following is a calculated powder diffraction line list of PmSnBi. It was derived from the GGA-PBE geometry in OQMD, using Cu Kα (weighted mean of Kα1 and Kα2).

Peak list (8 most intense, 15 to 90 degrees two-theta, low angle first)
2θ/deg, Rel. int., h k l
31.5, 20, 0 6 0
32.0, 100, 1 3 1
39.0, 16, 2 0 0
40.2, 15, 0 0 2
51.0, 11, 2 6 0
57.3, 11, 2 0 2
66.2, 13, 3 3 1
68.0, 15, 1 3 3

abc: 4.6209 17.0197 4.4816
angles: 90.00 90.00 90.00
Space group Cmcm (No. 63)
One atom of each set of equivalent atoms:
Pm: 0.0000 0.0994 0.2500 (multiplicity 4)
Sn: 0.0000 0.4416 0.2500 (multiplicity 4)
Bi: 0.0000 0.2506 0.7500 (multiplicity 4)

=====

# 8
The following is a calculated powder diffraction line list of TbPrBi2S2. It was derived from the GGA-PBE geometry in OQMD, using Cu Kα (weighted mean of Kα1 and Kα2).

Peak list (8 most intense, 15 to 90 degrees two-theta, low angle first)
2θ/deg, Rel. int., h k l
23.2, 32, 1 0 1
30.1, 46, 0 0 3
31.4, 100, 1 1 1
36.1, 79, 1 1 2
42.5, 40, 2 0 0
53.0, 38, 2 0 3
70.9, 21, 3 1 1
73.6, 21, 3 1 2

abc: 4.2525 4.2525 8.8986
angles: 90.00 90.00 90.00
Space group P4mm (No. 99)
One atom of each set of equivalent atoms:
Tb: 0.0000 0.0000 0.0000 (multiplicity 1)
Pr: 0.5000 0.5000 0.3688 (multiplicity 1)
Bi: 0.0000 0.5000 0.6880 (multiplicity 2)
S: 0.0000 0.0000 0.3053 (multiplicity 1)
S: 0.5000 0.5000 0.0508 (multiplicity 1)